Simulated X-ray powder pattern
Compound: Pu3Zr3TaN8
Radiation: CuKα
Structure: a structure optimized by DFT (PBE)
Lines closer than 0.1° are merged.

Top 8 peaks for 2θ = 10–80°, by intensity:
2theta  d [Å]  I/Imax
33.36  2.686  100
38.39  2.345  99
16.50  5.372  52
32.27  2.774  37
54.70  1.678  34
56.13  1.638  32
66.25  1.411  30
31.71  2.822  21

Atomic structure:
```
data_Pu3Zr3TaN8
_symmetry_space_group_name_H-M 'P 1'
_symmetry_Int_Tables_number 1
_symmetry_space_group_name_Hall 'P 1'
_cell_length_a 6.7163
_cell_length_b 6.7163
_cell_length_c 6.7163
_cell_angle_alpha 58.41
_cell_angle_beta 58.41
_cell_angle_gamma 58.41
loop_
_atom_site_label
_atom_site_fract_x
_atom_site_fract_y
_atom_site_fract_z
Pu1 0.0000 0.5000 0.5000
Pu2 0.5000 0.0000 0.5000
Pu3 0.5000 0.5000 0.0000
Zr1 0.0000 0.0000 0.5000
Zr2 0.0000 0.5000 0.0000
Zr3 0.5000 0.0000 0.0000
Ta1 0.5000 0.5000 0.5000
N1 0.2440 0.2440 0.2440
N2 0.2623 0.7296 0.7296
N3 0.2704 0.2704 0.7377
N4 0.2704 0.7377 0.2704
N5 0.7296 0.2623 0.7296
N6 0.7296 0.7296 0.2623
N7 0.7377 0.2704 0.2704
N8 0.7560 0.7560 0.7560
```